1.
Starting from DFT lattice parameters and positions (GGA-PBE), the powder diffractogram of Ba6P2BrN was calculated for Cu Ka.
Intensities are scaled so that the largest is 100.

Cell and atoms:
```
20
Lattice="7.4801 0.0000 0.0000 0.0000 8.5911 0.0000 -7.4702 0.0000 11.1991" Properties=species:S:1:pos:R:3 pbc="T T T"
Ba -1.1252 0.3720 2.5399
Ba -4.8603 3.9236 8.1395
Ba 1.1072 6.1166 0.8046
Ba -2.6279 6.7701 6.4042
Ba 2.2439 1.3731 0.8570
Ba -1.4912 2.9224 6.4566
Ba 1.5012 5.6687 4.7425
Ba -2.2339 7.2180 10.3420
Ba 2.6379 1.8211 4.7949
Ba -1.0972 2.4745 10.3944
Ba 4.8702 4.6676 3.0596
Ba 1.1351 8.2191 8.6591
P -3.2910 0.9909 8.3662
P 0.4441 3.3046 2.7667
P -0.4341 5.2865 8.4324
P 3.3010 7.6002 2.8329
Br 0.0050 0.0000 5.5995
Br 3.7401 4.2956 0.0000
N 0.0000 0.0000 0.0000
N -3.7351 4.2956 5.5995
```

Main lines, most intense first (2θ = 15–90°):
- 2θ 26.69, d = 3.341 Å, intensity 100
- 2θ 25.20, d = 3.534 Å, intensity 66
- 2θ 27.20, d = 3.278 Å, intensity 66
- 2θ 25.99, d = 3.428 Å, intensity 53
- 2θ 28.78, d = 3.102 Å, intensity 42
- 2θ 28.68, d = 3.113 Å, intensity 36
- 2θ 40.99, d = 2.202 Å, intensity 33
- 2θ 26.15, d = 3.408 Å, intensity 29
- 2θ 44.98, d = 2.015 Å, intensity 25
- 2θ 35.62, d = 2.521 Å, intensity 25

---

2.
Starting from DFT lattice parameters and positions (GGA-PBE), the powder diffractogram of Li7Zn was calculated for Cu Ka.
Intensities are scaled so that the largest is 100.

Cell and atoms:
```
8
Lattice="2.3302 1.3454 7.6842 -2.3302 1.3454 7.6842 0.0000 -2.6907 7.6842" Properties=species:S:1:pos:R:3 pbc="T T T"
Li 0.0000 0.0000 0.0000
Li 0.0000 0.0000 2.9833
Li 0.0000 0.0000 5.6922
Li 0.0000 0.0000 8.7514
Li 0.0000 0.0000 14.3011
Li 0.0000 0.0000 17.3603
Li 0.0000 0.0000 20.0692
Zn 0.0000 0.0000 11.5262
```

Main lines, most intense first (2θ = 15–90°):
- 2θ 22.36, d = 3.976 Å, intensity 100
- 2θ 23.35, d = 3.809 Å, intensity 90
- 2θ 38.38, d = 2.345 Å, intensity 63
- 2θ 26.97, d = 3.306 Å, intensity 63
- 2θ 38.64, d = 2.330 Å, intensity 63
- 2θ 29.41, d = 3.037 Å, intensity 46
- 2θ 40.45, d = 2.230 Å, intensity 44
- 2θ 23.15, d = 3.842 Å, intensity 30
- 2θ 35.17, d = 2.552 Å, intensity 30
- 2θ 45.53, d = 1.992 Å, intensity 30

---

3.
Starting from DFT lattice parameters and positions (GGA-PBE), the powder diffractogram of Ca3Pd4Pt was calculated for Cu Ka.
Intensities are scaled so that the largest is 100.

Cell and atoms:
```
16
Lattice="4.4427 0.0000 0.0000 0.0000 8.8473 0.0000 0.0000 0.0000 8.5035" Properties=species:S:1:pos:R:3 pbc="T T T"
Ca 1.1107 0.2598 1.3938
Ca 1.1107 4.1638 1.3938
Ca 1.1107 6.6355 5.1639
Ca 3.3321 2.2118 3.3396
Ca 3.3321 4.6835 7.1098
Ca 3.3321 8.5874 7.1098
Pd 1.1107 0.7698 4.8876
Pd 1.1107 3.6539 4.8876
Pd 1.1107 6.6355 2.5219
Pd 1.1107 6.6355 8.0608
Pd 3.3321 2.2118 0.4427
Pd 3.3321 2.2118 5.9816
Pd 3.3321 5.1934 3.6159
Pd 3.3321 8.0775 3.6159
Pt 1.1107 2.2118 7.4539
Pt 3.3321 6.6355 1.0496
```

Main lines, most intense first (2θ = 15–90°):
- 2θ 35.58, d = 2.523 Å, intensity 100
- 2θ 37.64, d = 2.389 Å, intensity 74
- 2θ 22.64, d = 3.927 Å, intensity 54
- 2θ 40.61, d = 2.221 Å, intensity 54
- 2θ 39.05, d = 2.307 Å, intensity 45
- 2θ 20.07, d = 4.424 Å, intensity 43
- 2θ 38.12, d = 2.360 Å, intensity 33
- 2θ 36.57, d = 2.457 Å, intensity 27
- 2θ 37.10, d = 2.423 Å, intensity 25
- 2θ 77.76, d = 1.228 Å, intensity 22

---

4.
Starting from DFT lattice parameters and positions (GGA-PBE), the powder diffractogram of K3PaSn2O6 was calculated for Cu Ka.
Intensities are scaled so that the largest is 100.

Cell and atoms:
```
12
Lattice="6.1452 0.0000 0.0000 -3.0726 5.3219 0.0000 0.0000 0.0000 7.2762" Properties=species:S:1:pos:R:3 pbc="T T T"
K 0.0000 0.0000 0.0000
K 0.0000 3.5479 4.7131
K 3.0726 1.7740 2.5632
Pa 0.0000 0.0000 3.6381
Sn 0.0000 3.5479 1.2600
Sn 3.0726 1.7740 6.0162
O 0.0000 1.7751 2.3570
O -1.5353 4.4343 2.3570
O 1.5373 0.8875 4.9192
O 1.5353 4.4343 2.3570
O 4.6079 0.8875 4.9192
O 3.0726 3.5468 4.9192
```

Main lines, most intense first (2θ = 15–90°):
- 2θ 20.68, d = 4.296 Å, intensity 100
- 2θ 29.06, d = 3.073 Å, intensity 94
- 2θ 29.75, d = 3.003 Å, intensity 91
- 2θ 42.07, d = 2.148 Å, intensity 52
- 2θ 51.94, d = 1.760 Å, intensity 39
- 2θ 46.86, d = 1.939 Å, intensity 26
- 2θ 47.78, d = 1.904 Å, intensity 24
- 2θ 51.52, d = 1.774 Å, intensity 19
- 2θ 53.21, d = 1.721 Å, intensity 19
- 2θ 68.62, d = 1.368 Å, intensity 17

---

5.
Starting from DFT lattice parameters and positions (GGA-PBE), the powder diffractogram of Rb2Se2O5 was calculated for Cu Ka.
Intensities are scaled so that the largest is 100.

Cell and atoms:
```
9
Lattice="4.8751 0.0000 0.0000 -0.0075 6.1023 0.0000 -1.3787 -2.7934 6.9485" Properties=species:S:1:pos:R:3 pbc="T T T"
Rb 0.0000 0.0000 0.0000
Rb 1.2517 3.0418 2.7783
Se 1.0222 0.4951 5.8772
Se 3.6839 0.0007 3.4960
O -0.4055 0.1721 6.7202
O 0.6228 -0.0879 4.1295
O 1.0876 2.1771 5.6826
O 3.7331 4.7362 2.5151
O 3.7697 1.3190 2.4523
```

Main lines, most intense first (2θ = 15–90°):
- 2θ 25.65, d = 3.473 Å, intensity 100
- 2θ 25.25, d = 3.527 Å, intensity 78
- 2θ 29.29, d = 3.049 Å, intensity 62
- 2θ 23.45, d = 3.794 Å, intensity 58
- 2θ 24.56, d = 3.624 Å, intensity 48
- 2θ 27.84, d = 3.204 Å, intensity 47
- 2θ 28.48, d = 3.134 Å, intensity 43
- 2θ 37.62, d = 2.391 Å, intensity 34
- 2θ 34.76, d = 2.581 Å, intensity 27
- 2θ 23.64, d = 3.764 Å, intensity 26

---

6.
Starting from DFT lattice parameters and positions (GGA-PBE), the powder diffractogram of Pm4Pr2Nd2Mg was calculated for Cu Ka.
Intensities are scaled so that the largest is 100.

Cell and atoms:
```
9
Lattice="6.5862 0.0000 0.0000 0.4756 6.5848 0.0000 2.0260 1.8937 7.1672" Properties=species:S:1:pos:R:3 pbc="T T T"
Pm 1.5157 1.7370 2.0281
Pm 4.2830 6.1403 6.4909
Pm 4.8047 2.3381 0.6763
Pm 7.5720 6.7415 5.1391
Pr 3.0097 4.8806 2.7930
Pr 6.0781 3.5979 4.3741
Nd 2.8568 2.8841 5.7952
Nd 6.2310 5.5944 1.3719
Mg 4.3061 0.9468 3.5836
```

Main lines, most intense first (2θ = 15–90°):
- 2θ 31.42, d = 2.847 Å, intensity 100
- 2θ 31.63, d = 2.829 Å, intensity 78
- 2θ 31.96, d = 2.801 Å, intensity 73
- 2θ 31.51, d = 2.840 Å, intensity 65
- 2θ 32.50, d = 2.755 Å, intensity 58
- 2θ 28.06, d = 3.180 Å, intensity 55
- 2θ 32.83, d = 2.728 Å, intensity 49
- 2θ 45.08, d = 2.011 Å, intensity 33
- 2θ 25.23, d = 3.530 Å, intensity 32
- 2θ 25.58, d = 3.482 Å, intensity 24

---

7.
Starting from DFT lattice parameters and positions (GGA-PBE), the powder diffractogram of CaTm2AlAu4 was calculated for Cu Ka.
Intensities are scaled so that the largest is 100.

Cell and atoms:
```
8
Lattice="2.4521 1.4157 8.1516 -2.4521 1.4157 8.1516 0.0000 -2.8315 8.1516" Properties=species:S:1:pos:R:3 pbc="T T T"
Ca 0.0000 0.0000 0.0000
Tm 0.0000 0.0000 5.9988
Tm 0.0000 0.0000 18.4561
Al 0.0000 0.0000 12.2275
Au 0.0000 0.0000 3.0721
Au 0.0000 0.0000 9.4313
Au 0.0000 0.0000 15.0236
Au 0.0000 0.0000 21.3828
```

Main lines, most intense first (2θ = 15–90°):
- 2θ 36.65, d = 2.452 Å, intensity 100
- 2θ 36.21, d = 2.481 Å, intensity 92
- 2θ 65.70, d = 1.421 Å, intensity 33
- 2θ 52.47, d = 1.744 Å, intensity 32
- 2θ 25.54, d = 3.488 Å, intensity 24
- 2θ 65.99, d = 1.416 Å, intensity 18
- 2θ 89.07, d = 1.099 Å, intensity 15
- 2θ 43.05, d = 2.101 Å, intensity 15
- 2θ 21.81, d = 4.076 Å, intensity 14
- 2θ 64.83, d = 1.438 Å, intensity 12

---

8.
Starting from DFT lattice parameters and positions (GGA-PBE), the powder diffractogram of Li5Ag4Au was calculated for Cu Ka.
Intensities are scaled so that the largest is 100.

Cell and atoms:
```
10
Lattice="3.1802 0.0000 0.0000 0.0000 3.1802 0.0000 0.0000 0.0000 15.6547" Properties=species:S:1:pos:R:3 pbc="T T T"
Li 0.0000 0.0000 0.0000
Li 0.0000 0.0000 3.1555
Li 0.0000 0.0000 6.3477
Li 0.0000 0.0000 9.3070
Li 0.0000 0.0000 12.4992
Ag 1.5901 1.5901 1.5749
Ag 1.5901 1.5901 4.7295
Ag 1.5901 1.5901 10.9252
Ag 1.5901 1.5901 14.0798
Au 1.5901 1.5901 7.8273
```

Main lines, most intense first (2θ = 15–90°):
- 2θ 28.06, d = 3.180 Å, intensity 100
- 2θ 40.43, d = 2.231 Å, intensity 88
- 2θ 28.51, d = 3.131 Å, intensity 48
- 2θ 40.10, d = 2.249 Å, intensity 45
- 2θ 49.93, d = 1.827 Å, intensity 41
- 2θ 73.07, d = 1.295 Å, intensity 29
- 2θ 65.88, d = 1.418 Å, intensity 18
- 2θ 65.65, d = 1.422 Å, intensity 17
- 2θ 66.58, d = 1.405 Å, intensity 16
- 2θ 58.00, d = 1.590 Å, intensity 15

---

9.
Starting from DFT lattice parameters and positions (GGA-PBE), the powder diffractogram of Ba2Ti6N2O11 was calculated for Cu Ka.
Intensities are scaled so that the largest is 100.

Cell and atoms:
```
21
Lattice="7.6636 -1.9716 0.0000 7.6636 1.9716 0.0000 -1.4299 0.0000 9.1610" Properties=species:S:1:pos:R:3 pbc="T T T"
Ba 0.3150 0.0000 2.4175
Ba 13.5824 0.0000 6.7435
Ti 2.8737 0.0000 6.8167
Ti 4.9447 0.0000 0.5404
Ti 5.2031 0.0000 3.8008
Ti 8.6942 0.0000 5.3602
Ti 8.9526 0.0000 8.6206
Ti 11.0237 0.0000 2.3443
N 1.8091 0.0000 8.4275
N 12.0883 0.0000 0.7335
O 1.2444 0.0000 5.5829
O 3.5599 0.0000 2.4810
O 4.3456 0.0000 5.4172
O 4.4469 0.0000 8.0920
O 6.2126 0.0000 1.9238
O 6.9487 0.0000 4.5805
O 7.6847 0.0000 7.2372
O 9.4504 0.0000 1.0691
O 9.5518 0.0000 3.7438
O 10.3374 0.0000 6.6800
O 12.6529 0.0000 3.5781
```

Main lines, most intense first (2θ = 15–90°):
- 2θ 29.86, d = 2.992 Å, intensity 100
- 2θ 28.73, d = 3.107 Å, intensity 90
- 2θ 29.46, d = 3.032 Å, intensity 83
- 2θ 19.38, d = 4.581 Å, intensity 62
- 2θ 31.08, d = 2.877 Å, intensity 58
- 2θ 46.04, d = 1.972 Å, intensity 58
- 2θ 43.50, d = 2.080 Å, intensity 56
- 2θ 42.88, d = 2.109 Å, intensity 49
- 2θ 31.26, d = 2.861 Å, intensity 49
- 2θ 24.01, d = 3.707 Å, intensity 44

---

Please write out number 1 again, unchanged.
Starting from DFT lattice parameters and positions (GGA-PBE), the powder diffractogram of Ba6P2BrN was calculated for Cu Ka.
Intensities are scaled so that the largest is 100.

Cell and atoms:
```
20
Lattice="7.4801 0.0000 0.0000 0.0000 8.5911 0.0000 -7.4702 0.0000 11.1991" Properties=species:S:1:pos:R:3 pbc="T T T"
Ba -1.1252 0.3720 2.5399
Ba -4.8603 3.9236 8.1395
Ba 1.1072 6.1166 0.8046
Ba -2.6279 6.7701 6.4042
Ba 2.2439 1.3731 0.8570
Ba -1.4912 2.9224 6.4566
Ba 1.5012 5.6687 4.7425
Ba -2.2339 7.2180 10.3420
Ba 2.6379 1.8211 4.7949
Ba -1.0972 2.4745 10.3944
Ba 4.8702 4.6676 3.0596
Ba 1.1351 8.2191 8.6591
P -3.2910 0.9909 8.3662
P 0.4441 3.3046 2.7667
P -0.4341 5.2865 8.4324
P 3.3010 7.6002 2.8329
Br 0.0050 0.0000 5.5995
Br 3.7401 4.2956 0.0000
N 0.0000 0.0000 0.0000
N -3.7351 4.2956 5.5995
```

Main lines, most intense first (2θ = 15–90°):
- 2θ 26.69, d = 3.341 Å, intensity 100
- 2θ 25.20, d = 3.534 Å, intensity 66
- 2θ 27.20, d = 3.278 Å, intensity 66
- 2θ 25.99, d = 3.428 Å, intensity 53
- 2θ 28.78, d = 3.102 Å, intensity 42
- 2θ 28.68, d = 3.113 Å, intensity 36
- 2θ 40.99, d = 2.202 Å, intensity 33
- 2θ 26.15, d = 3.408 Å, intensity 29
- 2θ 44.98, d = 2.015 Å, intensity 25
- 2θ 35.62, d = 2.521 Å, intensity 25